# 1
This entry pairs a crystal structure of Cr2Ni9As with its calculated powder XRD pattern. Radiation: Cu Kα, 1.54184 Å. Structure: a DFT-relaxed cell (PBE, Alexandria).
Neutral-atom scattering factors, no anomalous dispersion.

Principal peaks in the range 10 to 90 degrees two-theta, sorted by position:
44.10 deg, 2.054 Å, rel. 100; 44.21 deg, 2.049 Å, rel. 50; 44.37 deg, 2.042 Å, rel. 49; 50.26 deg, 1.815 Å, rel. 33; 51.73 deg, 1.767 Å, rel. 30; 52.45 deg, 1.744 Å, rel. 29; 74.92 deg, 1.268 Å, rel. 9; 75.11 deg, 1.265 Å, rel. 9; 75.46 deg, 1.260 Å, rel. 9; 75.74 deg, 1.256 Å, rel. 9

Structural model:
```
data_Cr2Ni9As
_cell_length_a 4.4013
_cell_length_b 5.5137
_cell_length_c 6.1657
_cell_angle_alpha 110.96
_cell_angle_beta 91.65
_cell_angle_gamma 104.25
_symmetry_space_group_name_H-M 'P 1'
_symmetry_Int_Tables_number 1
loop_
_symmetry_equiv_pos_as_xyz
'x,y,z'
loop_
_atom_site_label
_atom_site_fract_x
_atom_site_fract_y
_atom_site_fract_z
Cr1 0.0768 0.2288 0.0624
Cr2 0.9232 0.7712 0.9376
Ni1 0.1730 0.0004 0.6671
Ni2 0.2472 0.7461 0.2458
Ni3 0.3349 0.5043 0.8369
Ni4 0.4024 0.2471 0.4092
Ni5 0.5000 0.0000 0.0000
Ni6 0.5976 0.7529 0.5908
Ni7 0.6651 0.4957 0.1631
Ni8 0.7528 0.2539 0.7542
Ni9 0.8270 0.9996 0.3329
As1 0.0000 0.5000 0.5000
```

***

# 2
This entry pairs a crystal structure of NpGe2IrRh2 with its calculated powder XRD pattern. Radiation: Cu Kα, 1.54184 Å. Structure: a DFT-relaxed cell (PBE, Alexandria).
Neutral-atom scattering factors, no anomalous dispersion.

Principal peaks in the range 10 to 90 degrees two-theta, sorted by position:
18.96 deg, 4.681 Å, rel. 17; 26.94 deg, 3.310 Å, rel. 42; 31.70 deg, 2.822 Å, rel. 10; 33.16 deg, 2.702 Å, rel. 7; 38.47 deg, 2.340 Å, rel. 100; 51.67 deg, 1.769 Å, rel. 8; 55.53 deg, 1.655 Å, rel. 54; 62.78 deg, 1.480 Å, rel. 8; 69.58 deg, 1.351 Å, rel. 14; 82.43 deg, 1.170 Å, rel. 27

Structural model:
```
data_NpGe2IrRh2
_cell_length_a 4.6806
_cell_length_b 4.6806
_cell_length_c 5.4039
_cell_angle_alpha 90.00
_cell_angle_beta 90.00
_cell_angle_gamma 90.00
_symmetry_space_group_name_H-M 'P 1'
_symmetry_Int_Tables_number 1
loop_
_symmetry_equiv_pos_as_xyz
'x,y,z'
loop_
_atom_site_label
_atom_site_fract_x
_atom_site_fract_y
_atom_site_fract_z
Np1 0.0000 0.0000 0.0000
Ge1 0.0000 0.5000 0.5000
Ge2 0.5000 0.0000 0.5000
Ir1 0.0000 0.0000 0.5000
Rh1 0.5000 0.5000 0.2431
Rh2 0.5000 0.5000 0.7569
```

***

# 3
This entry pairs a crystal structure of MgScCd6 with its calculated powder XRD pattern. Radiation: Cu Kα, 1.54184 Å. Structure: a DFT-relaxed cell (PBE, Alexandria).
Neutral-atom scattering factors, no anomalous dispersion.

Principal peaks in the range 10 to 90 degrees two-theta, sorted by position:
15.17 deg, 5.841 Å, rel. 14; 25.32 deg, 3.517 Å, rel. 11; 30.61 deg, 2.920 Å, rel. 18; 34.45 deg, 2.604 Å, rel. 12; 34.68 deg, 2.587 Å, rel. 13; 36.01 deg, 2.494 Å, rel. 100; 37.51 deg, 2.398 Å, rel. 32; 39.58 deg, 2.277 Å, rel. 28; 43.65 deg, 2.073 Å, rel. 13; 66.71 deg, 1.402 Å, rel. 18

Structural model:
```
data_MgScCd6
_cell_length_a 4.7950
_cell_length_b 6.2677
_cell_length_c 6.2677
_cell_angle_alpha 68.73
_cell_angle_beta 90.00
_cell_angle_gamma 90.00
_symmetry_space_group_name_H-M 'P 1'
_symmetry_Int_Tables_number 1
loop_
_symmetry_equiv_pos_as_xyz
'x,y,z'
loop_
_atom_site_label
_atom_site_fract_x
_atom_site_fract_y
_atom_site_fract_z
Mg1 0.0000 0.0000 0.0000
Sc1 0.5000 0.7483 0.7483
Cd1 0.0000 0.0596 0.5006
Cd2 0.0000 0.5006 0.0596
Cd3 0.0000 0.5595 0.5595
Cd4 0.5000 0.1929 0.1929
Cd5 0.5000 0.2536 0.6888
Cd6 0.5000 0.6888 0.2536
```